Entry 1:
Computed powder diffractogram
Compound: AcHoCd3
Radiation: copper Kα
Structure: a DFT-relaxed cell (PBE, Alexandria)
Lines closer than 0.1° are merged.

Atomic structure:
a b c (Å): 15.126 15.126 5.074
angles (deg): 90.00 90.00 165.85
Atoms (fractional coordinates):
Ac  0.077  0.923  0.750
Ac  0.923  0.077  0.250
Ho  0.214  0.786  0.250
Ho  0.786  0.214  0.750
Cd  0.318  0.682  0.250
Cd  0.373  0.627  0.750
Cd  0.475  0.525  0.750
Cd  0.525  0.475  0.250
Cd  0.627  0.373  0.250
Cd  0.682  0.318  0.750

Top 12 peaks for 2θ from 15° to 90°, in order of falling intensity:
2θ/deg  intensity
31.09  100
34.72  67
31.82  46
35.38  36
48.31  29
61.35  25
60.86  25
61.79  18
83.66  17
48.90  14
46.25  13
59.55  12

=====

Entry 2:
Computed powder diffractogram
Compound: PuMnVTc
Radiation: copper Kα
Structure: a DFT-relaxed cell (PBE, Alexandria)
Lines closer than 0.1° are merged.

Atomic structure:
a b c (Å): 6.318 6.318 6.318
angles (deg): 90.00 90.00 90.00
Atoms (fractional coordinates):
Pu  0.000  0.000  0.000
Pu  0.000  0.500  0.500
Pu  0.500  0.000  0.500
Pu  0.500  0.500  0.000
Mn  0.250  0.250  0.750
Mn  0.250  0.750  0.250
Mn  0.750  0.250  0.250
Mn  0.750  0.750  0.750
V  0.000  0.000  0.500
V  0.000  0.500  0.000
V  0.500  0.000  0.000
V  0.500  0.500  0.500
Tc  0.250  0.250  0.250
Tc  0.250  0.750  0.750
Tc  0.750  0.250  0.750
Tc  0.750  0.750  0.250

Top 11 peaks for 2θ from 15° to 90°, in order of falling intensity:
2θ/deg  intensity
40.38  100
24.40  44
73.43  34
47.75  24
58.43  17
87.31  11
28.25  10
64.27  10
78.70  8
66.15  4
50.01  3

=====

Entry 3:
Computed powder diffractogram
Compound: Mn3Cu2Cl8
Radiation: copper Kα
Structure: a DFT-relaxed cell (PBE, Alexandria)
Lines closer than 0.1° are merged.

Atomic structure:
a b c (Å): 8.196 8.196 10.398
angles (deg): 90.00 90.00 125.76
Atoms (fractional coordinates):
Mn  0.000  0.000  0.000
Mn  0.111  0.389  0.250
Mn  0.389  0.111  0.750
Mn  0.500  0.500  0.500
Mn  0.611  0.889  0.250
Mn  0.889  0.611  0.750
Cu  0.122  0.878  0.390
Cu  0.378  0.622  0.890
Cu  0.622  0.378  0.110
Cu  0.878  0.122  0.610
Cl  0.008  0.992  0.753
Cl  0.119  0.362  0.010
Cl  0.138  0.381  0.490
Cl  0.248  0.752  0.249
Cl  0.252  0.748  0.749
Cl  0.362  0.119  0.990
Cl  0.381  0.138  0.510
Cl  0.492  0.508  0.253
Cl  0.508  0.492  0.747
Cl  0.619  0.862  0.490
Cl  0.638  0.881  0.010
Cl  0.748  0.252  0.251
Cl  0.752  0.248  0.751
Cl  0.862  0.619  0.510
Cl  0.881  0.638  0.990
Cl  0.992  0.008  0.247

Top 12 peaks for 2θ from 15° to 90°, in order of falling intensity:
2θ/deg  intensity
49.49  100
28.18  69
34.36  45
23.44  40
28.51  35
45.34  31
21.70  28
48.75  28
34.50  24
50.01  23
24.41  21
27.81  18

=====

Entry 4:
Computed powder diffractogram
Compound: LiMg14AlO16
Radiation: copper Kα
Structure: a DFT-relaxed cell (PBE, Alexandria)
Lines closer than 0.1° are merged.

Atomic structure:
a b c (Å): 4.228 8.459 8.491
angles (deg): 90.00 90.00 90.00
Atoms (fractional coordinates):
Li  0.000  0.000  0.000
Mg  0.000  0.248  0.245
Mg  0.000  0.248  0.755
Mg  0.000  0.500  0.000
Mg  0.000  0.500  0.500
Mg  0.000  0.752  0.245
Mg  0.000  0.752  0.755
Mg  0.500  0.000  0.243
Mg  0.500  0.000  0.757
Mg  0.500  0.244  0.000
Mg  0.500  0.249  0.500
Mg  0.500  0.500  0.248
Mg  0.500  0.500  0.752
Mg  0.500  0.751  0.500
Mg  0.500  0.756  0.000
Al  0.000  0.000  0.500
O  0.000  0.000  0.278
O  0.000  0.000  0.722
O  0.000  0.235  0.500
O  0.000  0.254  0.000
O  0.000  0.500  0.255
O  0.000  0.500  0.745
O  0.000  0.746  0.000
O  0.000  0.765  0.500
O  0.500  0.000  0.000
O  0.500  0.000  0.500
O  0.500  0.249  0.252
O  0.500  0.249  0.748
O  0.500  0.500  0.000
O  0.500  0.500  0.500
O  0.500  0.751  0.252
O  0.500  0.751  0.748

Top 12 peaks for 2θ from 15° to 90°, in order of falling intensity:
2θ/deg  intensity
42.77  100
61.95  55
42.59  49
62.08  28
78.21  25
36.76  13
74.38  7
74.13  4
23.50  3
25.79  2
31.73  2
62.95  1